Computed powder XRD pattern of PmThC for Cu Ka, from a GGA-PBE-relaxed structure.
Kinematic intensities with the Lorentz-polarization factor, no thermal factor.

Cell and atoms:
```
data_PmThC
_chemical_formula_sum 'Pm2 Th2 C2'
_symmetry_space_group_name_H-M 'P m m a'
_symmetry_Int_Tables_number 51
_symmetry_space_group_name_Hall '-P 2a 2a'
_cell_length_a 7.4736
_cell_length_b 5.1965
_cell_length_c 3.7361
_cell_angle_alpha 90.00
_cell_angle_beta 90.00
_cell_angle_gamma 90.00
loop_
_atom_site_label
_atom_site_fract_x
_atom_site_fract_y
_atom_site_fract_z
_atom_site_occupancy
Pm1 0.2500 0.0000 0.0007 1
Th1 0.0000 0.5000 0.5000 1
C1 0.2500 0.5000 0.0005 1
```

Peak list (8 most intense, 2θ from 10° to 80°, low angle first)
- 29.44 deg, I = 100.0
- 33.93 deg, I = 39.0
- 34.52 deg, I = 18.6
- 48.74 deg, I = 14.2
- 49.18 deg, I = 27.6
- 57.98 deg, I = 31.0
- 58.75 deg, I = 14.9
- 61.09 deg, I = 14.5


Computed powder XRD pattern of PmThC for Cu Ka, from a GGA-PBE-relaxed structure.
Kinematic intensities with the Lorentz-polarization factor, no thermal factor.

Cell and atoms:
```
data_PmThC
_chemical_formula_sum 'Pm2 Th2 C2'
_symmetry_space_group_name_H-M 'C 1 m 1'
_symmetry_Int_Tables_number 8
_symmetry_space_group_name_Hall 'C -2y'
_cell_length_a 6.3545
_cell_length_b 3.6707
_cell_length_c 6.8158
_cell_angle_alpha 90.00
_cell_angle_beta 108.20
_cell_angle_gamma 90.00
loop_
_atom_site_label
_atom_site_fract_x
_atom_site_fract_y
_atom_site_fract_z
_atom_site_occupancy
Pm1 0.0000 0.0000 0.0000 1
Th1 0.0198 0.5000 0.5616 1
C1 0.2574 0.0000 0.7733 1
```

Peak list (8 most intense, 2θ from 10° to 80°, low angle first)
- 13.68 deg, I = 19.8
- 27.55 deg, I = 34.8
- 29.57 deg, I = 100.0
- 33.70 deg, I = 76.7
- 47.10 deg, I = 24.8
- 49.69 deg, I = 27.6
- 57.76 deg, I = 27.8
- 58.89 deg, I = 15.0


Computed powder XRD pattern of PmTh3C8 for Cu Ka, from a GGA-PBE-relaxed structure.
Kinematic intensities with the Lorentz-polarization factor, no thermal factor.

Cell and atoms:
```
data_PmTh3C8
_chemical_formula_sum 'Pm4 Th12 C32'
_symmetry_space_group_name_H-M 'F m m 2'
_symmetry_Int_Tables_number 42
_symmetry_space_group_name_Hall 'F 2 -2'
_cell_length_a 9.8390
_cell_length_b 9.8563
_cell_length_c 8.2586
_cell_angle_alpha 90.00
_cell_angle_beta 90.00
_cell_angle_gamma 90.00
loop_
_atom_site_label
_atom_site_fract_x
_atom_site_fract_y
_atom_site_fract_z
_atom_site_occupancy
Pm1 0.0000 0.0000 0.0000 1
Th1 0.0000 0.0000 0.5010 1
Th2 0.2500 0.2500 0.2528 1
C1 0.0000 0.1629 0.2572 1
C2 0.0000 0.2498 0.1338 1
C3 0.1634 0.0000 0.7455 1
C4 0.2470 0.0000 0.3663 1
```

Peak list (8 most intense, 2θ from 10° to 80°, low angle first)
- 25.59 deg, I = 54.6
- 28.21 deg, I = 100.0
- 36.50 deg, I = 29.7
- 46.75 deg, I = 55.8
- 51.46 deg, I = 21.3
- 58.33 deg, I = 13.4
- 72.97 deg, I = 14.3
- 76.65 deg, I = 14.0


Computed powder XRD pattern of PrRu2C3 for Cu Ka, from a GGA-PBE-relaxed structure.
Kinematic intensities with the Lorentz-polarization factor, no thermal factor.

Cell and atoms:
```
data_PrRu2C3
_chemical_formula_sum 'Pr4 Ru8 C12'
_symmetry_space_group_name_H-M 'C m c m'
_symmetry_Int_Tables_number 63
_symmetry_space_group_name_Hall '-C 2c 2'
_cell_length_a 7.0346
_cell_length_b 9.3874
_cell_length_c 5.3052
_cell_angle_alpha 90.00
_cell_angle_beta 90.00
_cell_angle_gamma 90.00
loop_
_atom_site_label
_atom_site_fract_x
_atom_site_fract_y
_atom_site_fract_z
_atom_site_occupancy
Pr1 0.0000 0.2133 0.2500 1
Ru1 0.1933 0.5000 0.0000 1
C1 0.0000 0.4211 0.7500 1
C2 0.0968 0.0618 0.7500 1
```

Peak list (8 most intense, 2θ from 10° to 80°, low angle first)
- 23.04 deg, I = 94.8
- 31.29 deg, I = 34.5
- 31.79 deg, I = 100.0
- 35.67 deg, I = 36.5
- 38.35 deg, I = 33.7
- 39.00 deg, I = 75.9
- 42.69 deg, I = 59.0
- 60.43 deg, I = 31.5